(1)
Diffraction record for Ca2AlSnO5. The powder diffraction line list is computed, not measured: it uses a PBE-relaxed structure and copper Kα.

Unit cell a=5.6973 b=6.0884 c=8.2978 alpha=109.89 beta=107.16 gamma=91.83
Positions (direct):
Ca (0.0000, 0.0000, 0.0000)
Ca (0.1864, 0.3453, 0.4773)
Ca (0.5252, 0.5900, 0.0070)
Ca (0.7511, 0.7458, 0.4910)
Al (0.3791, 0.0118, 0.7476)
Al (0.8749, 0.3365, 0.7335)
Sn (0.1233, 0.6792, 0.2398)
Sn (0.6028, 0.1697, 0.2426)
O (0.1969, 0.2600, 0.7592)
O (0.2136, 0.7597, 0.5516)
O (0.3048, 0.0454, 0.2904)
O (0.4039, 0.9539, 0.9495)
O (0.4504, 0.4746, 0.2428)
O (0.6889, 0.0873, 0.7366)
O (0.7780, 0.8837, 0.2678)
O (0.7977, 0.3719, 0.5221)
O (0.8260, 0.6057, 0.8762)
O (0.8924, 0.3143, 0.1925)

The 10 most intense peaks (10 to 80 degrees two-theta), sorted by position:
d = 7.378 Å, intensity 100; d = 3.640 Å, intensity 28; d = 3.042 Å, intensity 46; d = 2.845 Å, intensity 52; d = 2.801 Å, intensity 82; d = 2.755 Å, intensity 29; d = 2.682 Å, intensity 39; d = 2.112 Å, intensity 27; d = 2.044 Å, intensity 28; d = 1.845 Å, intensity 26

---

(2)
Diffraction record for GeTe8Au6. The powder diffraction line list is computed, not measured: it uses a PBE-relaxed structure and copper Kα.

Unit cell a=8.2431 b=8.2440 c=8.2502 alpha=90.34 beta=90.41 gamma=90.42
Positions (direct):
Ge (0.0000, 0.0000, 0.0000)
Te (0.0870, 0.6461, 0.4708)
Te (0.1680, 0.1691, 0.1697)
Te (0.3538, 0.5288, 0.9131)
Te (0.4715, 0.0871, 0.6460)
Te (0.5285, 0.9129, 0.3540)
Te (0.6462, 0.4712, 0.0869)
Te (0.8320, 0.8309, 0.8303)
Te (0.9130, 0.3539, 0.5292)
Au (0.1822, 0.1960, 0.5840)
Au (0.1957, 0.5837, 0.1818)
Au (0.4162, 0.8180, 0.8041)
Au (0.5838, 0.1820, 0.1959)
Au (0.8043, 0.4163, 0.8182)
Au (0.8178, 0.8040, 0.4160)

The 10 most intense peaks (10 to 80 degrees two-theta), sorted by position:
d = 4.728 Å, intensity 62; d = 3.698 Å, intensity 100; d = 3.677 Å, intensity 67; d = 3.370 Å, intensity 34; d = 2.925 Å, intensity 39; d = 2.905 Å, intensity 26; d = 2.748 Å, intensity 29; d = 2.602 Å, intensity 38; d = 2.006 Å, intensity 56; d = 1.949 Å, intensity 38

---

(3)
Diffraction record for LiCoSi2Pb. The powder diffraction line list is computed, not measured: it uses a PBE-relaxed structure and copper Kα.

Unit cell a=4.3344 b=4.3344 c=5.0444 alpha=90.00 beta=90.00 gamma=90.00
Positions (direct):
Li (0.0000, 0.0000, 0.0000)
Co (0.5000, 0.5000, 0.5000)
Si (0.0000, 0.5000, 0.0000)
Si (0.5000, 0.0000, 0.0000)
Pb (0.0000, 0.0000, 0.5000)

The 10 most intense peaks (10 to 80 degrees two-theta), sorted by position:
d = 5.044 Å, intensity 49; d = 4.334 Å, intensity 36; d = 3.287 Å, intensity 33; d = 3.065 Å, intensity 34; d = 2.619 Å, intensity 100; d = 2.522 Å, intensity 24; d = 2.167 Å, intensity 31; d = 1.948 Å, intensity 19; d = 1.644 Å, intensity 26; d = 1.323 Å, intensity 24

---

(4)
Diffraction record for Pm3ErBi2. The powder diffraction line list is computed, not measured: it uses a PBE-relaxed structure and copper Kα.

Unit cell a=4.6165 b=4.6165 c=8.8707 alpha=90.00 beta=90.00 gamma=90.00
Positions (direct):
Pm (0.0000, 0.0000, 0.0000)
Pm (0.0000, 0.5000, 0.6497)
Pm (0.5000, 0.0000, 0.3503)
Er (0.5000, 0.5000, 0.0000)
Bi (0.0000, 0.5000, 0.2790)
Bi (0.5000, 0.0000, 0.7210)

The 10 most intense peaks (10 to 80 degrees two-theta), sorted by position:
d = 3.264 Å, intensity 22; d = 3.064 Å, intensity 76; d = 2.957 Å, intensity 36; d = 2.629 Å, intensity 100; d = 2.490 Å, intensity 28; d = 2.308 Å, intensity 58; d = 1.820 Å, intensity 36; d = 1.693 Å, intensity 18; d = 1.632 Å, intensity 20; d = 1.387 Å, intensity 28

---

(5)
Diffraction record for Nd3DyAs4. The powder diffraction line list is computed, not measured: it uses a PBE-relaxed structure and copper Kα.

Unit cell a=5.9892 b=5.9892 c=5.9892 alpha=90.00 beta=90.00 gamma=90.00
Positions (direct):
Nd (0.0000, 0.0000, 0.5000)
Nd (0.0000, 0.5000, 0.0000)
Nd (0.5000, 0.0000, 0.0000)
Dy (0.5000, 0.5000, 0.5000)
As (0.0000, 0.0000, 0.0000)
As (0.0000, 0.5000, 0.5000)
As (0.5000, 0.0000, 0.5000)
As (0.5000, 0.5000, 0.0000)

The 9 most intense peaks (10 to 80 degrees two-theta), sorted by position:
d = 3.458 Å, intensity 19; d = 2.995 Å, intensity 100; d = 2.117 Å, intensity 75; d = 1.806 Å, intensity 9; d = 1.729 Å, intensity 27; d = 1.497 Å, intensity 12; d = 1.374 Å, intensity 4; d = 1.339 Å, intensity 34; d = 1.223 Å, intensity 25

---

(6)
Diffraction record for MnZn2Tc. The powder diffraction line list is computed, not measured: it uses a PBE-relaxed structure and copper Kα.

Unit cell a=2.6327 b=3.9604 c=5.3723 alpha=90.00 beta=90.00 gamma=90.00
Positions (direct):
Mn (0.0000, 0.0000, 0.0000)
Zn (0.5000, 0.5000, 0.2488)
Zn (0.5000, 0.5000, 0.7512)
Tc (0.0000, 0.0000, 0.5000)

The 10 most intense peaks (10 to 80 degrees two-theta), sorted by position:
d = 5.372 Å, intensity 10; d = 3.188 Å, intensity 6; d = 2.223 Å, intensity 100; d = 2.192 Å, intensity 96; d = 2.030 Å, intensity 3; d = 1.980 Å, intensity 35; d = 1.880 Å, intensity 59; d = 1.363 Å, intensity 38; d = 1.343 Å, intensity 9; d = 1.316 Å, intensity 8

---

(7)
Diffraction record for Pa2AlGaN5. The powder diffraction line list is computed, not measured: it uses a PBE-relaxed structure and copper Kα.

Unit cell a=6.9627 b=6.9627 c=9.6264 alpha=90.00 beta=90.00 gamma=152.77
Positions (direct):
Pa (0.1260, 0.8740, 0.5000)
Pa (0.1338, 0.8662, 0.0823)
Pa (0.8662, 0.1338, 0.5823)
Pa (0.8740, 0.1260, 0.0000)
Al (0.2175, 0.7825, 0.7954)
Al (0.7825, 0.2175, 0.2954)
Ga (0.4822, 0.5178, 0.2735)
Ga (0.5178, 0.4822, 0.7735)
N (0.0739, 0.9261, 0.8292)
N (0.2852, 0.7148, 0.4460)
N (0.2921, 0.7079, 0.1547)
N (0.3660, 0.6340, 0.8035)
N (0.4993, 0.5007, 0.0655)
N (0.5007, 0.4993, 0.5655)
N (0.6340, 0.3660, 0.3035)
N (0.7079, 0.2921, 0.6547)
N (0.7148, 0.2852, 0.9460)
N (0.9261, 0.0739, 0.3292)

The 10 most intense peaks (10 to 80 degrees two-theta), sorted by position:
d = 4.813 Å, intensity 47; d = 3.384 Å, intensity 30; d = 3.186 Å, intensity 22; d = 2.899 Å, intensity 35; d = 2.768 Å, intensity 57; d = 2.654 Å, intensity 100; d = 2.322 Å, intensity 21; d = 2.260 Å, intensity 29; d = 1.852 Å, intensity 17; d = 1.574 Å, intensity 20

---

(8)
Diffraction record for U3MoN7. The powder diffraction line list is computed, not measured: it uses a PBE-relaxed structure and copper Kα.

Unit cell a=6.3467 b=6.3467 c=7.3643 alpha=90.00 beta=90.00 gamma=108.96
Positions (direct):
U (0.9998, 0.9998, 0.0000)
U (0.0002, 0.0002, 0.5000)
U (0.0305, 0.5016, 0.7501)
U (0.4984, 0.9695, 0.7499)
U (0.5016, 0.0305, 0.2499)
U (0.9695, 0.4984, 0.2501)
Mo (0.4995, 0.4995, 0.0000)
Mo (0.5005, 0.5005, 0.5000)
N (0.1272, 0.8728, 0.2500)
N (0.1387, 0.8613, 0.7500)
N (0.1496, 0.4024, 0.4721)
N (0.1499, 0.4026, 0.0281)
N (0.4024, 0.1496, 0.5279)
N (0.4026, 0.1499, 0.9719)
N (0.4208, 0.5792, 0.7500)
N (0.5792, 0.4208, 0.2500)
N (0.5974, 0.8501, 0.4719)
N (0.5976, 0.8504, 0.0279)
N (0.8501, 0.5974, 0.5281)
N (0.8504, 0.5976, 0.9721)
N (0.8613, 0.1387, 0.2500)
N (0.8728, 0.1272, 0.7500)

The 10 most intense peaks (10 to 80 degrees two-theta), sorted by position:
d = 6.002 Å, intensity 6; d = 3.000 Å, intensity 100; d = 2.605 Å, intensity 27; d = 2.583 Å, intensity 13; d = 1.842 Å, intensity 15; d = 1.834 Å, intensity 28; d = 1.570 Å, intensity 29; d = 1.560 Å, intensity 13; d = 1.500 Å, intensity 10; d = 1.303 Å, intensity 4